The following is a theoretical X-ray powder pattern of Ti2TcRh. It was derived from a structure optimized by DFT (GGA-PBE), using λ = 1.5418 Å (Cu Kα).

Top 5 peaks for 2θ = 5–70°, low angle first:
d [Å], Position (°2θ), I (rel.), h k l
3.102, 28.78, 18.2, 2 0 0
2.194, 41.15, 100.0, 2 2 0
1.791, 50.99, 5.2, 2 2 2
1.551, 59.60, 15.9, 4 0 0
1.387, 67.51, 6.9, 4 2 0

Crystal structure
```
data_Ti2TcRh
_cell_length_a 6.205
_cell_length_b 6.205
_cell_length_c 6.205
_cell_angle_alpha 90.00
_cell_angle_beta 90.00
_cell_angle_gamma 90.00
_space_group_name_H-M_alt 'F m -3 m'
_space_group_IT_number 225
_space_group_name_Hall '-F 4 2 3'
loop_
_atom_site_label
_atom_site_type_symbol
_atom_site_fract_x
_atom_site_fract_y
_atom_site_fract_z
Ti1 Ti 0.250 0.250 0.250
Tc1 Tc 0.000 0.000 0.000
Rh1 Rh 0.000 0.000 0.500
```



The following is a theoretical X-ray powder pattern of Dy6Co2Sn. It was derived from a structure optimized by DFT (GGA-PBE), using λ = 1.5418 Å (Cu Kα).

Top 10 peaks for 2θ = 5–70°, low angle first:
d [Å], Position (°2θ), I (rel.), h k l
3.146, 28.37, 15.4, 0 1 3
3.070, 29.08, 15.4, 0 3 1
2.968, 30.11, 26.1, 3 1 0
2.789, 32.09, 100.0, 2 2 2
2.610, 34.35, 29.5, 2 1 3
2.603, 34.46, 43.0, 1 3 2
2.566, 34.96, 31.0, 2 3 1
2.535, 35.41, 18.5, 3 2 1
2.338, 38.50, 23.0, 4 0 0
1.539, 60.11, 22.3, 5 3 2

Crystal structure
```
data_Dy6Co2Sn
_cell_length_a 9.351
_cell_length_b 9.681
_cell_length_c 9.981
_cell_angle_alpha 90.00
_cell_angle_beta 90.00
_cell_angle_gamma 90.00
_space_group_name_H-M_alt 'I m m m'
_space_group_IT_number 71
_space_group_name_Hall '-I 2 2'
loop_
_atom_site_label
_atom_site_type_symbol
_atom_site_fract_x
_atom_site_fract_y
_atom_site_fract_z
Dy1 Dy 0.000 0.210 0.234
Dy2 Dy 0.189 0.500 0.178
Dy3 Dy 0.214 0.315 0.500
Co1 Co 0.000 0.353 0.000
Co2 Co 0.000 0.500 0.388
Sn1 Sn 0.000 0.000 0.000
Sn2 Sn 0.000 0.000 0.500
```



The following is a theoretical X-ray powder pattern of ReC2. It was derived from a structure optimized by DFT (GGA-PBE), using λ = 1.5418 Å (Cu Kα).

Top 8 peaks for 2θ = 5–70°, low angle first:
d [Å], Position (°2θ), I (rel.), h k l
5.020, 17.67, 100.0, 0 0 2
2.510, 35.77, 29.3, 0 0 4
2.243, 40.21, 16.0, 1 0 0
2.189, 41.24, 74.4, 1 0 1
2.048, 44.23, 16.2, 1 0 2
1.863, 48.88, 42.7, 1 0 3
1.673, 54.89, 18.6, 0 0 6
1.496, 62.03, 23.9, 1 0 5

Crystal structure
```
data_ReC2
_cell_length_a 2.5897
_cell_length_b 2.5897
_cell_length_c 10.0407
_cell_angle_alpha 90.00
_cell_angle_beta 90.00
_cell_angle_gamma 120.00
_space_group_name_H-M_alt 'P 63/m m c'
_space_group_IT_number 194
_space_group_name_Hall '-P 6c 2c'
loop_
_atom_site_label
_atom_site_type_symbol
_atom_site_fract_x
_atom_site_fract_y
_atom_site_fract_z
Re1 Re 0.3333 0.6667 0.2500
C1 C 0.3333 0.6667 0.0146
```



- What is the formula in the first record?
  Ti2TcRh